No. 1
# Ag5Cl2F3
Simulated powder diffractogram, Cu Kα (weighted mean of Kα1 and Kα2). Input: a PBE-relaxed structure.
Intensities are scaled so that the largest is 1000.

Structure:
Cell lengths 12.6580, 3.8613, 9.1014 Å; angles 90.00, 124.53, 90.00 degrees
Space group C2/m (No. 12)
Inequivalent atoms, fractional coordinates:
Ag (0.0000, 0.0000, 0.0000) [2 per cell]
Ag (0.0943, 0.0000, 0.4306) [4 per cell]
Ag (0.2071, 0.5000, 0.8070) [4 per cell]
Cl (0.1697, 0.5000, 0.2670) [4 per cell]
F (0.0000, 0.5000, 0.5000) [2 per cell]
F (0.1123, 0.0000, 0.8558) [4 per cell]

Most intense lines, 5° ≤ 2θ ≤ 70°, low angle first:
d/Å  intensity
3.621  479
3.058  629
3.017  530
2.906  598
2.733  1000
2.455  782
2.361  315
1.932  668
1.628  393
1.518  372

No. 2
# Ag2ClF2
Simulated powder diffractogram, Cu Kα (weighted mean of Kα1 and Kα2). Input: a PBE-relaxed structure.
Intensities are scaled so that the largest is 1000.

Structure:
Cell lengths 7.8973, 9.1279, 9.9038 Å; angles 90.00, 90.00, 90.00 degrees
Space group Fddd (No. 70, origin choice 2)
Inequivalent atoms, fractional coordinates:
Ag (0.1250, 0.3519, 0.1250) [16 per cell]
Cl (0.1250, 0.1250, 0.6250) [8 per cell]
F (0.1250, 0.1250, 0.2679) [16 per cell]

Most intense lines, 5° ≤ 2θ ≤ 70°, low angle first:
d/Å  intensity
3.356  686
3.087  1000
2.986  275
2.476  214
2.282  228
2.153  149
1.974  186
1.906  349
1.835  304
1.702  186

No. 3
# Ag2Cl2F
Simulated powder diffractogram, Cu Kα (weighted mean of Kα1 and Kα2). Input: a PBE-relaxed structure.
Intensities are scaled so that the largest is 1000.

Structure:
Cell lengths 11.1039, 6.4338, 6.9426 Å; angles 90.00, 121.59, 90.00 degrees
Space group Cc (No. 9)
Inequivalent atoms, fractional coordinates:
Ag (0.0000, 0.2053, 0.0000) [4 per cell]
Ag (0.2986, 0.2346, 0.9221) [4 per cell]
Cl (0.2362, 0.4123, 0.2032) [4 per cell]
Cl (0.3942, 0.0874, 0.6895) [4 per cell]
F (0.0533, 0.0927, 0.7496) [4 per cell]

Most intense lines, 5° ≤ 2θ ≤ 70°, low angle first:
d/Å  intensity
4.704  420
3.478  886
3.447  259
3.211  1000
2.828  341
2.352  246
2.185  421
2.177  373
2.164  451
1.856  327

No. 4
# Ag4ClF5
Simulated powder diffractogram, Cu Kα (weighted mean of Kα1 and Kα2). Input: a PBE-relaxed structure.
Intensities are scaled so that the largest is 1000.

Structure:
Cell lengths 7.1776, 8.4885, 5.7019 Å; angles 90.00, 90.00, 90.00 degrees
Space group Pmmn (No. 59, origin choice 2)
Inequivalent atoms, fractional coordinates:
Ag (0.0319, 0.2500, 0.0188) [4 per cell]
Ag (0.2500, 0.5206, 0.5199) [4 per cell]
Cl (0.2500, 0.2500, 0.3679) [2 per cell]
F (0.0075, 0.5600, 0.2568) [8 per cell]
F (0.2500, 0.7500, 0.7073) [2 per cell]

Most intense lines, 5° ≤ 2θ ≤ 70°, low angle first:
d/Å  intensity
3.405  1000
3.037  910
2.852  231
2.740  319
2.122  178
1.976  583
1.795  127
1.740  381
1.735  160
1.587  173

No. 5
# Ag2Cl3F6
Simulated powder diffractogram, Cu Kα (weighted mean of Kα1 and Kα2). Input: a PBE-relaxed structure.
Intensities are scaled so that the largest is 1000.

Structure:
Cell lengths 6.5519, 6.6126, 12.8201 Å; angles 75.74, 75.31, 60.71 degrees
Space group P-1 (No. 2)
Inequivalent atoms, fractional coordinates:
Ag (0.1659, 0.1657, 0.0002) [2 per cell]
Ag (0.3312, 0.3348, 0.4997) [2 per cell]
Cl (0.0719, 0.4308, 0.2492) [2 per cell]
Cl (0.2475, 0.9339, 0.7491) [2 per cell]
Cl (0.4431, 0.7488, 0.2497) [2 per cell]
F (0.0373, 0.4117, 0.4025) [2 per cell]
F (0.0964, 0.4597, 0.0983) [2 per cell]
F (0.1484, 0.9143, 0.9027) [2 per cell]
F (0.3439, 0.9624, 0.5985) [2 per cell]
F (0.4167, 0.6561, 0.4020) [2 per cell]
F (0.4745, 0.8408, 0.0980) [2 per cell]

Most intense lines, 5° ≤ 2θ ≤ 70°, low angle first:
d/Å  intensity
6.135  762
5.475  1000
5.436  497
4.833  547
3.068  372
2.934  386
2.918  754
2.895  750
2.888  380
2.239  364

No. 6
# Ag7ClF5
Simulated powder diffractogram, Cu Kα (weighted mean of Kα1 and Kα2). Input: a PBE-relaxed structure.
Intensities are scaled so that the largest is 1000.

Structure:
Cell lengths 12.5118, 3.3172, 20.8132 Å; angles 90.00, 91.48, 90.00 degrees
Space group C2/m (No. 12)
Inequivalent atoms, fractional coordinates:
Ag (0.0239, 0.0000, 0.3754) [4 per cell]
Ag (0.0488, 0.0000, 0.8901) [4 per cell]
Ag (0.0687, 0.5000, 0.2594) [4 per cell]
Ag (0.1551, 0.5000, 0.5126) [4 per cell]
Ag (0.1588, 0.5000, 0.0263) [4 per cell]
Ag (0.2254, 0.0000, 0.1879) [4 per cell]
Ag (0.2291, 0.0000, 0.3213) [4 per cell]
Cl (0.0974, 0.0000, 0.7689) [4 per cell]
F (0.0000, 0.0000, 0.0000) [2 per cell]
F (0.0000, 0.0000, 0.5000) [2 per cell]
F (0.1048, 0.5000, 0.1335) [4 per cell]
F (0.1143, 0.5000, 0.6182) [4 per cell]
F (0.1748, 0.5000, 0.4064) [4 per cell]
F (0.1989, 0.5000, 0.9169) [4 per cell]

Most intense lines, 5° ≤ 2θ ≤ 70°, low angle first:
d/Å  intensity
3.016  412
3.000  601
2.738  728
2.597  544
2.581  537
2.571  407
2.509  1000
2.423  852
2.034  456
1.659  437

No. 7
# Ag2ClF
Simulated powder diffractogram, Cu Kα (weighted mean of Kα1 and Kα2). Input: a PBE-relaxed structure.
Intensities are scaled so that the largest is 1000.

Structure:
Cell lengths 6.1739, 15.4912, 7.0889 Å; angles 90.00, 90.00, 90.00 degrees
Space group Cmce (No. 64)
Inequivalent atoms, fractional coordinates:
Ag (0.0000, 0.0554, 0.2264) [8 per cell]
Ag (0.2500, 0.1862, 0.7500) [8 per cell]
Cl (0.0000, 0.1833, 0.4216) [8 per cell]
F (0.0000, 0.0772, 0.8796) [8 per cell]

Most intense lines, 5° ≤ 2θ ≤ 70°, low angle first:
d/Å  intensity
3.544  598
3.399  1000
2.868  401
2.658  666
2.229  504
2.017  415
1.936  189
1.907  328
1.824  156
1.729  168

No. 8
# AgCl6F12
Simulated powder diffractogram, Cu Kα (weighted mean of Kα1 and Kα2). Input: a PBE-relaxed structure.
Intensities are scaled so that the largest is 1000.

Structure:
Cell lengths 6.0213, 6.3789, 10.8331 Å; angles 79.50, 81.71, 71.75 degrees
Space group P-1 (No. 2)
Inequivalent atoms, fractional coordinates:
Ag (0.0000, 0.0000, 0.0000) [1 per cell]
Cl (0.0552, 0.1386, 0.5439) [2 per cell]
Cl (0.2157, 0.4909, 0.8594) [2 per cell]
Cl (0.2475, 0.2500, 0.1996) [2 per cell]
F (0.1713, 0.6488, 0.5263) [2 per cell]
F (0.1933, 0.2654, 0.7997) [2 per cell]
F (0.2409, 0.9954, 0.1236) [2 per cell]
F (0.2644, 0.7266, 0.9329) [2 per cell]
F (0.2778, 0.4553, 0.2701) [2 per cell]
F (0.2831, 0.9281, 0.6147) [2 per cell]

Most intense lines, 5° ≤ 2θ ≤ 70°, low angle first:
d/Å  intensity
10.605  869
5.693  863
4.918  185
4.294  191
4.075  217
3.712  589
3.628  219
3.291  1000
3.097  187
2.111  215